Structure and simulated powder XRD pattern of Ti3NiSb2 (a DFT-relaxed cell (GGA-PBE, Alexandria); Cu Ka).

Top 10 peaks for 2θ = 10–90°, in order of rising 2θ:
2θ/deg, I/Imax
24.8, 100
29.3, 49
35.6, 71
36.6, 71
38.1, 74
38.3, 46
39.8, 69
40.9, 77
43.6, 88
44.6, 53

Structural model:
Lattice parameters (Å, degrees): 10.8151 4.1500 9.5353 90.00 90.00 90.00
Space group Pnma (No. 62)
Inequivalent atoms, fractional coordinates:
Ti  0.0582  0.2500  0.1328
Ti  0.1629  0.7500  0.5887
Ti  0.2446  0.2500  0.7922
Ni  0.1000  0.2500  0.4182
Sb  0.0044  0.2500  0.6770
Sb  0.1750  0.7500  0.9931